NaGa2MoO6: theoretical powder diffraction line list (CuKα), based on a crystal structure in Alexandria, relaxed with GGA+U.

Top 6 peaks for 5 to 70 degrees two-theta, in order of falling intensity:
| index | 2θ/deg | I_rel |
| --- | --- | --- |
| 0 2 1 | 22.73 | 100 |
| 3 1 -1 | 30.05 | 35 |
| 1 3 -1 | 28.50 | 32 |
| 1 3 0 | 26.35 | 29 |
| 1 1 -1 | 17.01 | 29 |
| 3 1 0 | 32.90 | 29 |

Atomic structure:
```
data_NaGa2MoO6
_chemical_formula_sum 'Na4 Ga8 Mo4 O24'
_space_group_name_H-M_alt 'C 1 2/c 1'
_space_group_IT_number 15
_cell_length_a 9.3005
_cell_length_b 11.0798
_cell_length_c 6.0991
_cell_angle_alpha 90.00
_cell_angle_beta 115.03
_cell_angle_gamma 90.00
loop_
_space_group_symop_operation_xyz
'x,y,z'
'-x,-y,-z'
'-x,y,-z+1/2'
'x,-y,z+1/2'
'x+1/2,y+1/2,z'
'-x+1/2,-y+1/2,-z'
'-x+1/2,y+1/2,-z+1/2'
'x+1/2,-y+1/2,z+1/2'
loop_
_atom_site_label
_atom_site_type_symbol
_atom_site_fract_x
_atom_site_fract_y
_atom_site_fract_z
_atom_site_occupancy
Na1 Na 0.0000 0.0999 0.2500 1
Ga1 Ga 0.1332 0.4267 0.1767 1
Mo1 Mo 0.0000 0.1950 0.7500 1
O1 O 0.1050 0.2624 0.0559 1
O2 O 0.1149 0.4418 0.4711 1
O3 O 0.1343 0.0847 0.6927 1
```